Calculated powder XRD pattern
Compound: PmPrNd2Bi4
Radiation: Cu Kα
Structure: a GGA-PBE-relaxed structure
Intensities are scaled so that the largest is 100.

Crystal structure
Lattice parameters (Å, degrees): 7.9835 4.6121 7.9837 90.00 109.46 90.00
Sites, in units of the cell vectors:
1 Pm 0.0000 0.0000 0.0000
2 Pr 0.5000 0.5000 0.0000
3 Nd 0.0000 0.5000 0.5000
4 Nd 0.5000 0.0000 0.5000
5 Bi 0.2480 0.0000 0.7493
6 Bi 0.2481 0.5000 0.2495
7 Bi 0.7520 0.0000 0.2507
8 Bi 0.7519 0.5000 0.7505

Peak list (10 most intense, 2θ from 15° to 90°, by angle)
| 2theta | d (Å) | I/Imax |
| --- | --- | --- |
| 23.63 | 3.764 | 6 |
| 27.36 | 3.260 | 100 |
| 39.08 | 2.305 | 79 |
| 46.18 | 1.966 | 3 |
| 48.36 | 1.882 | 29 |
| 56.45 | 1.630 | 14 |
| 62.05 | 1.496 | 1 |
| 63.85 | 1.458 | 38 |
| 70.79 | 1.331 | 28 |
| 83.96 | 1.153 | 9 |



Calculated powder XRD pattern
Compound: PmNdBiSb
Radiation: Cu Kα
Structure: a GGA-PBE-relaxed structure
Intensities are scaled so that the largest is 100.

Crystal structure
Lattice parameters (Å, degrees): 4.5510 4.5510 6.4312 90.00 90.00 90.00
Sites, in units of the cell vectors:
1 Pm 0.0000 0.0000 0.0000
2 Nd 0.5000 0.5000 0.5000
3 Bi 0.5000 0.5000 0.0000
4 Sb 0.0000 0.0000 0.5000

Peak list (10 most intense, 2θ from 15° to 90°, by angle)
| 2theta | d (Å) | I/Imax |
| --- | --- | --- |
| 19.51 | 4.551 | 3 |
| 27.73 | 3.217 | 100 |
| 31.08 | 2.878 | 2 |
| 34.14 | 2.626 | 1 |
| 39.62 | 2.275 | 78 |
| 49.04 | 1.857 | 28 |
| 57.27 | 1.609 | 13 |
| 64.80 | 1.439 | 37 |
| 71.88 | 1.313 | 27 |
| 85.34 | 1.137 | 9 |



Calculated powder XRD pattern
Compound: Pr2Nd5Bi4
Radiation: Cu Kα
Structure: a GGA-PBE-relaxed structure
Intensities are scaled so that the largest is 100.

Crystal structure
Lattice parameters (Å, degrees): 12.9628 12.9628 8.4954 91.73 91.73 15.87
Sites, in units of the cell vectors:
1 Pr 0.2344 0.2344 0.3177
2 Pr 0.7656 0.7656 0.6823
3 Nd 0.0000 0.0000 0.5000
4 Nd 0.3324 0.3324 0.0049
5 Nd 0.3600 0.3600 0.4445
6 Nd 0.6400 0.6400 0.5555
7 Nd 0.6676 0.6676 0.9951
8 Bi 0.0993 0.0993 0.2469
9 Bi 0.4505 0.4505 0.1901
10 Bi 0.5495 0.5495 0.8099
11 Bi 0.9007 0.9007 0.7531

Peak list (10 most intense, 2θ from 15° to 90°, by angle)
| 2theta | d (Å) | I/Imax |
| --- | --- | --- |
| 27.29 | 3.268 | 99 |
| 29.15 | 3.064 | 45 |
| 29.46 | 3.032 | 92 |
| 30.10 | 2.969 | 100 |
| 32.18 | 2.782 | 59 |
| 32.44 | 2.760 | 53 |
| 34.20 | 2.621 | 89 |
| 40.44 | 2.230 | 61 |
| 51.03 | 1.790 | 27 |
| 60.39 | 1.533 | 30 |